# Mg2NbGaH
Computed powder diffractogram, a wavelength of 1.5418 Å. Input: a DFT-relaxed cell (GGA-PBE, Alexandria).

Top 10 peaks for 2θ from 15° to 90°, low angle first:
21.56°, intensity 29; 30.02°, intensity 27; 37.26°, intensity 100; 42.97°, intensity 34; 43.92°, intensity 16; 48.57°, intensity 13; 62.39°, intensity 11; 63.13°, intensity 21; 74.97°, intensity 24; 76.32°, intensity 11

Cell and atoms:
abc: 4.210 4.210 4.123
angles: 90.00 90.00 90.00
Space group P4/mmm (No. 123)
Asymmetric unit:
Mg 0.000 0.500 0.000
Nb 0.000 0.000 0.500
Ga 0.500 0.500 0.500
H 0.000 0.000 0.000

---

# Mg3GaH2Pd6
Computed powder diffractogram, a wavelength of 1.5418 Å. Input: a DFT-relaxed cell (GGA-PBE, Alexandria).

Top 10 peaks for 2θ from 15° to 90°, low angle first:
18.48°, intensity 23; 21.71°, intensity 37; 22.69°, intensity 50; 39.25°, intensity 100; 39.84°, intensity 24; 44.25°, intensity 37; 50.29°, intensity 12; 51.72°, intensity 35; 67.59°, intensity 16; 81.05°, intensity 16

Cell and atoms:
abc: 5.5441 5.5441 7.8364
angles: 90.00 90.00 120.00
Space group P-3m1 (No. 164)
Asymmetric unit:
Mg 0.0000 0.0000 0.0000
Mg 0.3333 0.6667 0.6162
Ga 0.0000 0.0000 0.5000
H 0.3333 0.6667 0.1461
Pd 0.1708 0.3416 0.2697

---

# Mg2GaHPd6
Computed powder diffractogram, a wavelength of 1.5418 Å. Input: a DFT-relaxed cell (GGA-PBE, Alexandria).

Top 10 peaks for 2θ from 15° to 90°, low angle first:
20.33°, intensity 44; 32.01°, intensity 31; 33.86°, intensity 35; 37.64°, intensity 44; 38.07°, intensity 100; 40.14°, intensity 30; 41.33°, intensity 66; 41.84°, intensity 55; 43.13°, intensity 56; 46.33°, intensity 32

Cell and atoms:
abc: 5.494 5.575 6.283
angles: 86.69 66.79 61.14
Space group P-1 (No. 2)
Asymmetric unit:
Mg 0.008 0.313 0.224
Ga 0.500 0.500 0.000
H 0.500 0.000 0.500
Pd 0.026 0.171 0.666
Pd 0.453 0.334 0.374
Pd 0.479 0.157 0.794

---

# SrMg2GaH
Computed powder diffractogram, a wavelength of 1.5418 Å. Input: a DFT-relaxed cell (GGA-PBE, Alexandria).

Top 10 peaks for 2θ from 15° to 90°, low angle first:
20.97°, intensity 35; 22.53°, intensity 47; 30.97°, intensity 79; 32.11°, intensity 100; 32.26°, intensity 61; 39.75°, intensity 33; 40.35°, intensity 18; 46.01°, intensity 50; 46.15°, intensity 23; 52.09°, intensity 31

Cell and atoms:
abc: 4.535 11.856 7.894
angles: 90.00 90.00 90.00
Space group Cmcm (No. 63)
Asymmetric unit:
Sr 0.000 0.056 0.250
Mg 0.000 0.333 0.059
Ga 0.000 0.220 0.750
H 0.000 0.500 0.000

---

# Mn3GaH
Computed powder diffractogram, a wavelength of 1.5418 Å. Input: a DFT-relaxed cell (GGA-PBE, Alexandria).

Top 10 peaks for 2θ from 15° to 90°, low angle first:
41.72°, intensity 35; 42.32°, intensity 100; 48.40°, intensity 22; 49.44°, intensity 42; 71.22°, intensity 12; 72.16°, intensity 17; 86.13°, intensity 7; 86.92°, intensity 7; 87.63°, intensity 7; 88.07°, intensity 7

Cell and atoms:
abc: 9.235 5.194 4.548
angles: 90.00 110.33 90.00
Space group Cm (No. 8)
Asymmetric unit:
Mn 0.000 0.000 0.000
Mn 0.016 0.251 0.507
Mn 0.266 0.245 0.985
Mn 0.268 0.500 0.520
Ga 0.025 0.500 0.016
Ga 0.263 0.000 0.471
H 0.133 0.000 0.809
H 0.372 0.500 0.231

---

# MnGaMoHOs
Computed powder diffractogram, a wavelength of 1.5418 Å. Input: a DFT-relaxed cell (GGA-PBE, Alexandria).

Top 10 peaks for 2θ from 15° to 90°, low angle first:
16.60°, intensity 33; 28.26°, intensity 22; 35.88°, intensity 12; 39.25°, intensity 100; 40.90°, intensity 87; 46.38°, intensity 31; 46.74°, intensity 60; 67.96°, intensity 38; 80.58°, intensity 24; 83.81°, intensity 20

Cell and atoms:
abc: 2.833 3.916 5.341
angles: 90.00 90.00 90.00
Space group Pmm2 (No. 25)
Asymmetric unit:
Mn 0.000 0.000 0.000
Ga 0.500 0.500 0.212
Mo 0.000 0.000 0.477
H 0.500 0.000 0.754
Os 0.500 0.500 0.717